Ba2SnN2: theoretical XRD peak list (Cu Ka), based on a DFT-relaxed cell (GGA-PBE, Alexandria).
Intensities are scaled so that the largest is 100.

Principal peaks in the range 10° ≤ 2θ ≤ 90°, low angle first:
- 2θ = 26.01°, intensity 60
- 2θ = 27.06°, intensity 69
- 2θ = 29.43°, intensity 77
- 2θ = 30.66°, intensity 80
- 2θ = 31.46°, intensity 100
- 2θ = 36.24°, intensity 29
- 2θ = 44.50°, intensity 26
- 2θ = 48.18°, intensity 25
- 2θ = 55.34°, intensity 17
- 2θ = 57.24°, intensity 28

Atomic structure:
abc: 6.9159 6.9159 13.4940
angles: 90.00 90.00 130.12
Positions (direct):
Ba 0.0424 0.9576 0.8562
Ba 0.1464 0.8536 0.4515
Ba 0.3536 0.6464 0.9515
Ba 0.4576 0.5424 0.3562
Ba 0.5424 0.4576 0.6438
Ba 0.6464 0.3536 0.0485
Ba 0.8536 0.1464 0.5485
Ba 0.9576 0.0424 0.1438
Sn 0.2450 0.7550 0.6849
Sn 0.2550 0.7450 0.1849
Sn 0.7450 0.2550 0.8151
Sn 0.7550 0.2450 0.3151
N 0.0813 0.9187 0.6438
N 0.1592 0.8408 0.0573
N 0.3408 0.6592 0.5573
N 0.4187 0.5813 0.1438
N 0.5813 0.4187 0.8562
N 0.6592 0.3408 0.4427
N 0.8408 0.1592 0.9427
N 0.9187 0.0813 0.3562

---

ErSi2NiRu: theoretical XRD peak list (Cu Ka), based on a DFT-relaxed cell (GGA-PBE, Alexandria).
Intensities are scaled so that the largest is 100.

Principal peaks in the range 10° ≤ 2θ ≤ 90°, low angle first:
- 2θ = 24.18°, intensity 43
- 2θ = 35.27°, intensity 43
- 2θ = 36.07°, intensity 18
- 2θ = 36.81°, intensity 100
- 2θ = 45.81°, intensity 36
- 2θ = 51.34°, intensity 15
- 2θ = 59.11°, intensity 19
- 2θ = 59.65°, intensity 16
- 2θ = 65.35°, intensity 17
- 2θ = 78.77°, intensity 21

Atomic structure:
abc: 5.7135 5.7135 5.7135
angles: 139.43 139.43 58.72
Positions (direct):
Er 0.0000 0.0000 0.0000
Si 0.3773 0.3773 0.0000
Si 0.6227 0.6227 0.0000
Ni 0.7500 0.2500 0.5000
Ru 0.2500 0.7500 0.5000

---

NdZn11Si: theoretical XRD peak list (Cu Ka), based on a DFT-relaxed cell (GGA-PBE, Alexandria).
Intensities are scaled so that the largest is 100.

Principal peaks in the range 10° ≤ 2θ ≤ 90°, low angle first:
- 2θ = 34.23°, intensity 30
- 2θ = 34.46°, intensity 43
- 2θ = 34.74°, intensity 25
- 2θ = 39.71°, intensity 47
- 2θ = 39.98°, intensity 73
- 2θ = 40.04°, intensity 44
- 2θ = 40.29°, intensity 100
- 2θ = 40.63°, intensity 41
- 2θ = 44.78°, intensity 33
- 2θ = 72.67°, intensity 22

Atomic structure:
abc: 6.8920 6.8920 6.7776
angles: 98.19 98.19 135.32
Positions (direct):
Nd 0.0000 0.0000 0.0000
Zn 0.9999 0.3573 0.3557
Zn 0.0000 0.5000 0.0000
Zn 0.0001 0.6427 0.6443
Zn 0.2866 0.5050 0.7828
Zn 0.3573 0.9999 0.3557
Zn 0.4950 0.7134 0.2172
Zn 0.5000 0.0000 0.0000
Zn 0.5000 0.5000 0.5000
Zn 0.5050 0.2866 0.7828
Zn 0.6427 0.0001 0.6443
Zn 0.7134 0.4950 0.2172
Si 0.0000 0.0000 0.5000

---

Rb3Dy3HfS8: theoretical XRD peak list (Cu Ka), based on a DFT-relaxed cell (GGA-PBE, Alexandria).
Intensities are scaled so that the largest is 100.

Principal peaks in the range 10° ≤ 2θ ≤ 90°, low angle first:
- 2θ = 11.29°, intensity 64
- 2θ = 22.69°, intensity 27
- 2θ = 27.00°, intensity 43
- 2θ = 30.10°, intensity 100
- 2θ = 37.42°, intensity 16
- 2θ = 40.36°, intensity 37
- 2θ = 45.67°, intensity 32
- 2θ = 46.80°, intensity 17
- 2θ = 51.59°, intensity 19
- 2θ = 55.67°, intensity 17

Atomic structure:
abc: 9.0806 9.0806 9.0806
angles: 51.89 51.89 51.89
Positions (direct):
Rb 0.0000 0.5000 0.5000
Rb 0.5000 0.0000 0.5000
Rb 0.5000 0.5000 0.0000
Dy 0.0000 0.0000 0.5000
Dy 0.0000 0.5000 0.0000
Dy 0.5000 0.0000 0.0000
Hf 0.5000 0.5000 0.5000
S 0.2304 0.2304 0.2304
S 0.2468 0.7182 0.7182
S 0.2818 0.2818 0.7532
S 0.2818 0.7532 0.2818
S 0.7182 0.2468 0.7182
S 0.7182 0.7182 0.2468
S 0.7532 0.2818 0.2818
S 0.7696 0.7696 0.7696

---

CaPr6HoEr2: theoretical XRD peak list (Cu Ka), based on a DFT-relaxed cell (GGA-PBE, Alexandria).
Intensities are scaled so that the largest is 100.

Principal peaks in the range 10° ≤ 2θ ≤ 90°, low angle first:
- 2θ = 11.07°, intensity 37
- 2θ = 27.68°, intensity 49
- 2θ = 29.70°, intensity 100
- 2θ = 29.87°, intensity 73
- 2θ = 30.30°, intensity 90
- 2θ = 30.42°, intensity 60
- 2θ = 30.75°, intensity 55
- 2θ = 31.49°, intensity 32
- 2θ = 33.10°, intensity 91
- 2θ = 36.49°, intensity 44

Atomic structure:
abc: 9.0526 9.0526 9.7955
angles: 93.39 93.39 117.50
Positions (direct):
Ca 0.0271 0.9729 0.7500
Ca 0.9729 0.0271 0.2500
Pr 0.0131 0.5546 0.6823
Pr 0.1244 0.7540 0.0539
Pr 0.2460 0.8756 0.4461
Pr 0.2930 0.5041 0.8811
Pr 0.4454 0.9869 0.8177
Pr 0.4959 0.7070 0.6189
Pr 0.5041 0.2930 0.3811
Pr 0.5546 0.0131 0.1823
Pr 0.7070 0.4959 0.1189
Pr 0.7540 0.1244 0.5539
Pr 0.8756 0.2460 0.9461
Pr 0.9869 0.4454 0.3177
Ho 0.4089 0.5911 0.2500
Ho 0.5911 0.4089 0.7500
Er 0.2003 0.3057 0.5466
Er 0.3057 0.2003 0.0466
Er 0.6943 0.7997 0.9534
Er 0.7997 0.6943 0.4534

---

PrNd7Dy3: theoretical XRD peak list (Cu Ka), based on a DFT-relaxed cell (GGA-PBE, Alexandria).
Intensities are scaled so that the largest is 100.

Principal peaks in the range 10° ≤ 2θ ≤ 90°, low angle first:
- 2θ = 24.53°, intensity 19
- 2θ = 27.90°, intensity 22
- 2θ = 30.88°, intensity 100
- 2θ = 32.32°, intensity 72
- 2θ = 34.96°, intensity 24
- 2θ = 45.31°, intensity 22
- 2θ = 50.25°, intensity 14
- 2θ = 56.74°, intensity 29
- 2θ = 61.01°, intensity 23
- 2θ = 82.14°, intensity 13

Atomic structure:
abc: 11.0790 11.0790 3.6325
angles: 90.00 90.00 120.00
Positions (direct):
Pr 0.0000 0.0000 0.0000
Nd 0.2026 0.4051 0.5000
Nd 0.2026 0.7974 0.5000
Nd 0.5126 0.0252 0.0000
Nd 0.5126 0.4874 0.0000
Nd 0.5949 0.7974 0.5000
Nd 0.6667 0.3333 0.5000
Nd 0.9748 0.4874 0.0000
Dy 0.3126 0.1563 0.5000
Dy 0.8437 0.1563 0.5000
Dy 0.8437 0.6874 0.5000

---

VNi3Pt3: theoretical XRD peak list (Cu Ka), based on a DFT-relaxed cell (GGA-PBE, Alexandria).
Intensities are scaled so that the largest is 100.

Principal peaks in the range 10° ≤ 2θ ≤ 90°, low angle first:
- 2θ = 25.30°, intensity 16
- 2θ = 32.80°, intensity 24
- 2θ = 38.93°, intensity 33
- 2θ = 42.00°, intensity 27
- 2θ = 44.46°, intensity 100
- 2θ = 58.60°, intensity 20
- 2θ = 70.50°, intensity 15
- 2θ = 78.46°, intensity 18
- 2θ = 85.59°, intensity 18
- 2θ = 87.28°, intensity 13

Atomic structure:
abc: 7.0680 7.0680 4.3023
angles: 90.00 90.00 120.00
Positions (direct):
V 0.3333 0.6667 0.2500
V 0.6667 0.3333 0.7500
Ni 0.0458 0.2274 0.2500
Ni 0.1816 0.9542 0.2500
Ni 0.2274 0.1816 0.7500
Ni 0.7726 0.8184 0.2500
Ni 0.8184 0.0458 0.7500
Ni 0.9542 0.7726 0.7500
Pt 0.0881 0.4570 0.7500
Pt 0.3688 0.9119 0.7500
Pt 0.4570 0.3688 0.2500
Pt 0.5430 0.6312 0.7500
Pt 0.6312 0.0881 0.2500
Pt 0.9119 0.5430 0.2500

---

Which formula does entry 2 have? ErSi2NiRu